Starting from DFT lattice parameters and positions (GGA-PBE), the PXRD pattern of Tm2Al2PdAu3 was computed for copper Kα.
Peak positions follow from Bragg's law for the DFT cell and can differ from measured ones.

Cell and atoms:
Cell lengths 4.4691, 4.4691, 9.0564 Å; angles 90.00, 90.00, 120.00 degrees
Element x y z (fractional)
Tm 0.0000 0.0000 0.0000
Tm 0.3333 0.6667 0.5082
Al 0.6667 0.3333 0.2547
Al 0.6667 0.3333 0.7641
Pd 0.3333 0.6667 0.8349
Au 0.0000 0.0000 0.3427
Au 0.0000 0.0000 0.6740
Au 0.3333 0.6667 0.1650

Principal peaks in the range 15 to 90 degrees two-theta, by angle:
- hkl 1 0 0, 22.98 deg, intensity 48
- hkl 0 1 3, 37.79 deg, intensity 100
- hkl 1 1 0, 40.36 deg, intensity 62
- hkl 2 0 3, 56.48 deg, intensity 31
- hkl 1 0 6, 66.49 deg, intensity 9
- hkl 1 2 3, 71.69 deg, intensity 31
- hkl 3 0 0, 73.39 deg, intensity 11
- hkl 1 1 6, 76.10 deg, intensity 16